Calculated powder X-ray diffraction pattern of Pr4AlTeI2 for a wavelength of 1.5418 Å, from a cell relaxed with GGA-PBE.
Peak positions follow from Bragg's law for the DFT cell and can differ from measured ones.

Atomic structure:
```
data_Pr4AlTeI2
_chemical_formula_sum 'Pr4 Al1 Te1 I2'
_cell_length_a 7.906
_cell_length_b 4.502
_cell_length_c 8.076
_cell_angle_alpha 90.00
_cell_angle_beta 108.87
_cell_angle_gamma 90.00
_space_group_name_H-M_alt 'P 1 2/m 1'
_space_group_IT_number 10
_space_group_name_Hall '-P 2y'
loop_
_atom_site_label
_atom_site_type_symbol
_atom_site_fract_x
_atom_site_fract_y
_atom_site_fract_z
_atom_site_occupancy
Pr1 Pr 0.220 0.000 0.210 1
Pr2 Pr 0.241 0.500 0.787 1
Al1 Al 0.000 0.500 0.000 1
Te1 Te 0.500 0.000 0.000 1
I1 I 0.000 0.000 0.500 1
I2 I 0.500 0.500 0.500 1
```

Principal peaks in the range 10 to 80 degrees two-theta, in order of rising 2θ:
| 2θ (°) | d_spacing | I (rel.) |
| --- | --- | --- |
| 27.4 | 3.250 | 49 |
| 27.6 | 3.233 | 100 |
| 30.0 | 2.974 | 10 |
| 38.8 | 2.324 | 16 |
| 39.0 | 2.310 | 32 |
| 39.6 | 2.274 | 37 |
| 40.1 | 2.251 | 20 |
| 48.7 | 1.870 | 9 |
| 49.2 | 1.850 | 19 |
| 57.0 | 1.617 | 11 |
| 65.4 | 1.428 | 10 |
| 71.6 | 1.318 | 8 |